No. 1
Structure and computed X-ray diffraction stick pattern of K8Sn8Se20O9 (a structure optimized by DFT (GGA-PBE); Cu Kα (weighted mean of Kα1 and Kα2)).

Peak list (6 most intense, 2θ from 10° to 80°, by angle)
2θ (°)	I (rel.)	index
10.84	42	0 1 2
14.05	100	0 2 1
19.70	32	1 2 2
23.28	63	2 2 0
33.63	36	1 4 3
40.89	32	4 0 7

```
data_K8Sn8Se20O9
_chemical_formula_sum 'K24 Sn24 Se60 O27'
_symmetry_space_group_name_H-M 'R 3'
_symmetry_Int_Tables_number 146
_symmetry_space_group_name_Hall 'R 3'
_cell_length_a 15.2833
_cell_length_b 15.2833
_cell_length_c 20.7464
_cell_angle_alpha 90.00
_cell_angle_beta 90.00
_cell_angle_gamma 120.00
loop_
_atom_site_label
_atom_site_type_symbol
_atom_site_fract_x
_atom_site_fract_y
_atom_site_fract_z
K1 K 0.0000 0.0000 0.0000
K2 K 0.0000 0.0000 0.1877
K3 K 0.0709 0.2424 0.5337
K4 K 0.1641 0.7398 0.3111
Sn1 Sn 0.0000 0.0000 0.3941
Sn2 Sn 0.0000 0.0000 0.7710
Sn3 Sn 0.0468 0.5317 0.4981
Sn4 Sn 0.1735 0.3793 0.9970
Se1 Se 0.0000 0.0000 0.5127
Se2 Se 0.0000 0.0000 0.6525
Se3 Se 0.0251 0.2373 0.9299
Se4 Se 0.0455 0.5475 0.7888
Se5 Se 0.0540 0.1785 0.3454
Se6 Se 0.1209 0.6972 0.9004
Se7 Se 0.1449 0.3536 0.7139
Se8 Se 0.1781 0.1301 0.8181
O1 O 0.0549 0.1817 0.1134
O2 O 0.0671 0.5442 0.3260
O3 O 0.1608 0.3730 0.1701
```

***

No. 2
Structure and computed X-ray diffraction stick pattern of KUSe2O8 (a structure optimized by DFT (GGA-PBE); Cu Kα (weighted mean of Kα1 and Kα2)).

Peak list (6 most intense, 2θ from 10° to 80°, by angle)
2θ (°)	I (rel.)	index
13.82	100	1 0 -2
15.55	29	1 1 0
18.21	28	0 0 2
22.22	46	1 2 -2
25.98	42	2 0 0
29.21	47	1 3 0

```
data_KUSe2O8
_chemical_formula_sum 'K4 U4 Se8 O32'
_symmetry_space_group_name_H-M 'P 1 21/c 1'
_symmetry_Int_Tables_number 14
_cell_length_a 9.050
_cell_length_b 10.240
_cell_length_c 12.856
_cell_angle_alpha 90.00
_cell_angle_beta 130.72
_cell_angle_gamma 90.00
loop_
_symmetry_equiv_pos_as_xyz
'x,y,z'
'-x,-y,-z'
'-x,y+1/2,-z+1/2'
'x,-y+1/2,z+1/2'
loop_
_atom_site_label
_atom_site_type_symbol
_atom_site_fract_x
_atom_site_fract_y
_atom_site_fract_z
K1 K 0.218 0.051 0.441
U1 U 0.310 0.703 0.690
Se1 Se 0.219 0.130 0.100
Se2 Se 0.295 0.041 0.803
O1 O 0.028 0.212 0.955
O2 O 0.115 0.140 0.754
O3 O 0.190 0.608 0.230
O4 O 0.205 0.527 0.542
O5 O 0.317 0.695 0.078
O6 O 0.327 0.594 0.811
O7 O 0.391 0.094 0.731
O8 O 0.411 0.191 0.115
```